No. 1
Diffraction record for Fe7C3. The X-ray powder pattern is calculated, not measured: it uses a DFT-relaxed cell (PBE, the Materials Project) and Cu Kα.

The 8 most intense peaks (10 to 80 degrees two-theta), sorted by position:
two_theta  d_spacing  I_rel  index
36.4  2.470  16  2 0 1
40.4  2.234  26  2 1 0
43.1  2.101  39  1 0 2
45.3  2.001  100  2 1 1
46.1  1.970  9  3 0 0
50.6  1.805  25  3 0 1
51.1  1.789  18  2 0 2
53.7  1.706  11  2 2 0

Cell and atoms:
Unit cell a=6.826 b=6.826 c=4.495 alpha=90.00 beta=90.00 gamma=120.00
Positions (direct):
Fe  0.091  0.546  0.000
Fe  0.122  0.245  0.674
Fe  0.122  0.878  0.674
Fe  0.245  0.122  0.174
Fe  0.333  0.667  0.492
Fe  0.454  0.546  0.000
Fe  0.454  0.909  0.000
Fe  0.546  0.091  0.500
Fe  0.546  0.454  0.500
Fe  0.667  0.333  0.992
Fe  0.755  0.878  0.674
Fe  0.878  0.122  0.174
Fe  0.878  0.755  0.174
Fe  0.909  0.454  0.500
C  0.187  0.373  0.280
C  0.187  0.813  0.280
C  0.373  0.187  0.780
C  0.627  0.813  0.280
C  0.813  0.187  0.780
C  0.813  0.627  0.780



No. 2
Diffraction record for MnCoAs. The X-ray powder pattern is calculated, not measured: it uses a DFT-relaxed cell (PBE, the Materials Project) and Cu Kα.

The 8 most intense peaks (10 to 80 degrees two-theta), sorted by position:
two_theta  d_spacing  I_rel  index
38.5  2.341  26  2 1 0
38.8  2.323  66  1 1 2
40.7  2.219  100  2 1 1
46.3  1.962  22  3 0 1
46.5  1.954  43  0 1 3
48.9  1.862  35  1 1 3
50.4  1.812  45  0 2 0
51.9  1.763  32  3 0 2

Cell and atoms:
Unit cell a=6.135 b=3.623 c=6.961 alpha=90.00 beta=90.00 gamma=90.00
Positions (direct):
Mn  0.030  0.250  0.172
Mn  0.470  0.750  0.672
Mn  0.530  0.250  0.328
Mn  0.970  0.750  0.828
Co  0.141  0.250  0.564
Co  0.359  0.750  0.064
Co  0.641  0.250  0.936
Co  0.859  0.750  0.436
As  0.238  0.750  0.375
As  0.262  0.250  0.875
As  0.738  0.750  0.125
As  0.762  0.250  0.625



No. 3
Diffraction record for Th2Ge. The X-ray powder pattern is calculated, not measured: it uses a DFT-relaxed cell (PBE, the Materials Project) and Cu Kα.

The 8 most intense peaks (10 to 80 degrees two-theta), sorted by position:
two_theta  d_spacing  I_rel  index
29.3  3.047  17  0 0 2
30.7  2.912  100  2 1 1
34.0  2.634  13  1 1 2
38.2  2.354  20  2 0 2
38.4  2.344  23  3 1 0
52.9  1.732  23  2 1 3
53.1  1.724  19  4 1 1
61.2  1.515  17  3 3 2

Cell and atoms:
Unit cell a=7.411 b=7.411 c=6.095 alpha=90.00 beta=90.00 gamma=90.00
Positions (direct):
Th  0.164  0.336  0.000
Th  0.164  0.664  0.500
Th  0.336  0.164  0.500
Th  0.336  0.836  0.000
Th  0.664  0.164  0.000
Th  0.664  0.836  0.500
Th  0.836  0.336  0.500
Th  0.836  0.664  0.000
Ge  0.000  0.000  0.250
Ge  0.000  0.000  0.750
Ge  0.500  0.500  0.250
Ge  0.500  0.500  0.750



No. 4
Diffraction record for Tm2CuAu. The X-ray powder pattern is calculated, not measured: it uses a DFT-relaxed cell (PBE, the Materials Project) and Cu Kα.

The 8 most intense peaks (10 to 80 degrees two-theta), sorted by position:
two_theta  d_spacing  I_rel  index
22.1  4.027  10  1 1 1
36.4  2.466  100  2 2 0
43.0  2.103  6  3 1 1
52.5  1.744  18  4 0 0
57.6  1.600  3  3 3 1
65.6  1.424  36  4 2 2
70.1  1.342  2  5 1 1
77.4  1.233  11  4 4 0

Cell and atoms:
Unit cell a=6.975 b=6.975 c=6.975 alpha=90.00 beta=90.00 gamma=90.00
Positions (direct):
Tm  0.250  0.250  0.250
Tm  0.250  0.250  0.750
Tm  0.250  0.750  0.250
Tm  0.250  0.750  0.750
Tm  0.750  0.250  0.250
Tm  0.750  0.250  0.750
Tm  0.750  0.750  0.250
Tm  0.750  0.750  0.750
Cu  0.000  0.000  0.000
Cu  0.000  0.500  0.500
Cu  0.500  0.000  0.500
Cu  0.500  0.500  0.000
Au  0.000  0.000  0.500
Au  0.000  0.500  0.000
Au  0.500  0.000  0.000
Au  0.500  0.500  0.500



No. 5
Diffraction record for MgZn2. The X-ray powder pattern is calculated, not measured: it uses a DFT-relaxed cell (PBE, the Materials Project) and Cu Kα.

The 8 most intense peaks (10 to 80 degrees two-theta), sorted by position:
two_theta  d_spacing  I_rel  index
14.2  6.234  85  0 0 1
35.8  2.507  40  1 1 1
36.4  2.468  80  4 0 -2
39.5  2.281  100  3 1 0
40.3  2.237  42  4 0 1
41.2  2.192  84  1 1 -2
43.6  2.078  34  0 0 3
75.1  1.264  34  4 2 -2

Cell and atoms:
Unit cell a=11.418 b=2.943 c=6.573 alpha=90.00 beta=108.49 gamma=90.00
Positions (direct):
Mg  0.137  0.000  0.039
Mg  0.363  0.500  0.961
Mg  0.637  0.500  0.039
Mg  0.863  0.000  0.961
Zn  0.028  0.500  0.321
Zn  0.189  0.000  0.626
Zn  0.311  0.500  0.374
Zn  0.472  0.000  0.679
Zn  0.528  0.000  0.321
Zn  0.689  0.500  0.626
Zn  0.811  0.000  0.374
Zn  0.972  0.500  0.679